1.
Starting from a structure optimized by DFT (GGA-PBE), the PXRD pattern of PRhCl was computed for CuKα.

Crystal structure
abc: 3.138 3.138 11.186
angles: 90.00 90.00 90.00
Space group I4mm (No. 107)
Symmetry-distinct sites (fractional):
1 P 0.000 0.000 0.000 x2
2 Rh 0.000 0.000 0.428 x2
3 Cl 0.000 0.000 0.187 x2

The 8 most intense peaks (5° ≤ 2θ ≤ 70°), by angle:
2θ = 15.84°, I = 100.0
2θ = 29.56°, I = 94.2
2θ = 32.00°, I = 41.4
2θ = 37.45°, I = 48.6
2θ = 40.66°, I = 64.0
2θ = 43.89°, I = 30.2
2θ = 50.07°, I = 50.0
2θ = 52.65°, I = 37.7

=====

2.
Starting from a structure optimized by DFT (GGA-PBE), the PXRD pattern of Dy5InAu4 was computed for CuKα.

Crystal structure
abc: 3.587 3.587 18.632
angles: 90.00 90.00 90.00
Space group P4/mmm (No. 123)
Symmetry-distinct sites (fractional):
1 Dy 0.000 0.000 0.000 x1
2 Dy 0.000 0.000 0.195 x2
3 Dy 0.000 0.000 0.388 x2
4 In 0.500 0.500 0.500 x1
5 Au 0.500 0.500 0.097 x2
6 Au 0.500 0.500 0.294 x2

The 8 most intense peaks (5° ≤ 2θ ≤ 70°), by angle:
2θ = 9.49°, I = 2.3
2θ = 34.71°, I = 100.0
2θ = 35.39°, I = 49.6
2θ = 38.34°, I = 4.1
2θ = 48.88°, I = 8.4
2θ = 50.91°, I = 17.8
2θ = 61.78°, I = 16.7
2θ = 63.10°, I = 35.8

=====

3.
Starting from a structure optimized by DFT (GGA-PBE), the PXRD pattern of TbSm12Dy5 was computed for CuKα.

Crystal structure
abc: 10.787 5.094 10.803
angles: 90.00 90.06 90.00
Space group P2/m (No. 10)
Symmetry-distinct sites (fractional):
1 Tb 0.000 0.000 0.000 x1
2 Sm 0.001 0.000 0.667 x2
3 Sm 0.166 0.500 0.166 x2
4 Sm 0.168 0.500 0.501 x2
5 Sm 0.332 0.000 0.999 x2
6 Sm 0.335 0.000 0.334 x2
7 Sm 0.499 0.500 0.832 x2
8 Dy 0.167 0.500 0.833 x2
9 Dy 0.333 0.000 0.667 x2
10 Dy 0.500 0.500 0.500 x1

The 6 most intense peaks (5° ≤ 2θ ≤ 70°), by angle:
2θ = 30.41°, I = 100.0
2θ = 35.26°, I = 50.6
2θ = 50.73°, I = 36.2
2θ = 60.29°, I = 35.9
2θ = 60.37°, I = 7.1
2θ = 63.28°, I = 12.4

=====

4.
Starting from a structure optimized by DFT (GGA-PBE), the PXRD pattern of Ac2PmPr2Nd was computed for CuKα.

Crystal structure
abc: 7.416 6.014 10.325
angles: 90.00 90.00 90.00
Space group Pmma (No. 51)
Symmetry-distinct sites (fractional):
1 Ac 0.000 0.000 0.000 x2
2 Ac 0.250 0.500 0.172 x2
3 Pm 0.250 0.000 0.665 x2
4 Pr 0.250 0.000 0.343 x2
5 Pr 0.250 0.500 0.825 x2
6 Nd 0.000 0.500 0.500 x2

The 8 most intense peaks (5° ≤ 2θ ≤ 70°), by angle:
2θ = 29.62°, I = 100.0
2θ = 29.71°, I = 35.9
2θ = 29.91°, I = 69.8
2θ = 42.48°, I = 25.7
2θ = 52.66°, I = 13.5
2θ = 52.86°, I = 27.2
2θ = 52.99°, I = 13.8
2θ = 58.60°, I = 21.2

=====

Q: What is the formula in the third record?
A: TbSm12Dy5